This entry pairs a crystal structure of Li5Mn5O9F with its computed X-ray powder pattern. Radiation: Cu Kα (weighted mean of Kα1 and Kα2). Structure: DFT lattice parameters and positions (GGA+U).
Kinematic intensities with the Lorentz-polarization factor, no thermal factor.

Top 10 peaks for 2θ from 10° to 90°, most intense first:
2θ 18.0, I = 100
2θ 40.0, I = 35
2θ 42.9, I = 28
2θ 43.6, I = 26
2θ 33.3, I = 20
2θ 60.5, I = 17
2θ 35.1, I = 14
2θ 35.6, I = 13
2θ 36.5, I = 9
2θ 59.7, I = 9

Atomic structure:
a = 5.2218 Å, b = 5.3614 Å, c = 7.8926 Å
α = 105.69°, β = 104.53°, γ = 101.64°
Element x y z (fractional)
Li (0.0000, 0.0000, 0.0000)
Li (0.1900, 0.4087, 0.4028)
Li (0.3872, 0.7746, 0.7835)
Li (0.5840, 0.2192, 0.2081)
Li (0.7896, 0.5994, 0.6074)
Mn (0.0922, 0.1988, 0.6979)
Mn (0.2743, 0.5965, 0.1027)
Mn (0.4969, 0.9923, 0.4972)
Mn (0.6853, 0.3858, 0.8978)
Mn (0.8929, 0.7900, 0.3064)
O (0.0234, 0.5963, 0.8703)
O (0.1782, 0.8152, 0.5548)
O (0.2603, 0.9660, 0.2491)
O (0.3382, 0.2481, 0.9490)
O (0.4338, 0.3942, 0.6670)
O (0.5178, 0.5881, 0.3278)
O (0.7561, 0.0053, 0.7329)
O (0.8381, 0.1892, 0.4633)
O (0.9080, 0.3929, 0.1348)
F (0.6392, 0.8255, 0.0371)

This entry pairs a crystal structure of Li4MnO2F3 with its computed X-ray powder pattern. Radiation: Cu Kα (weighted mean of Kα1 and Kα2). Structure: DFT lattice parameters and positions (GGA+U).
Kinematic intensities with the Lorentz-polarization factor, no thermal factor.

Top 10 peaks for 2θ from 10° to 90°, most intense first:
2θ 40.5, I = 100
2θ 26.3, I = 85
2θ 18.8, I = 77
2θ 43.3, I = 76
2θ 25.9, I = 73
2θ 18.0, I = 70
2θ 46.0, I = 67
2θ 60.8, I = 45
2θ 25.4, I = 43
2θ 62.9, I = 43

Atomic structure:
a = 5.1315 Å, b = 5.1315 Å, c = 6.6516 Å
α = 128.45°, β = 128.45°, γ = 45.19°
Element x y z (fractional)
Li (0.0000, 0.0000, 0.0000)
Li (0.1907, 0.1907, 0.5473)
Li (0.5792, 0.5792, 0.7566)
Li (0.8088, 0.8088, 0.4004)
Mn (0.3757, 0.3757, 0.1795)
O (0.2932, 0.2932, 0.3636)
O (0.8866, 0.8866, 0.1696)
F (0.0792, 0.0792, 0.7756)
F (0.4587, 0.4587, 0.9589)
F (0.6858, 0.6858, 0.5681)

This entry pairs a crystal structure of Li7MnO3F3 with its computed X-ray powder pattern. Radiation: Cu Kα (weighted mean of Kα1 and Kα2). Structure: DFT lattice parameters and positions (GGA+U).
Kinematic intensities with the Lorentz-polarization factor, no thermal factor.

Top 10 peaks for 2θ from 10° to 90°, most intense first:
2θ 35.0, I = 100
2θ 37.5, I = 81
2θ 17.0, I = 69
2θ 37.1, I = 69
2θ 18.8, I = 58
2θ 19.1, I = 53
2θ 22.0, I = 52
2θ 21.0, I = 49
2θ 21.9, I = 47
2θ 19.8, I = 40

Atomic structure:
a = 5.5196 Å, b = 6.0751 Å, c = 9.7756 Å
α = 75.27°, β = 87.03°, γ = 63.03°
Element x y z (fractional)
Li (0.0000, 0.0000, 0.0000)
Li (0.0005, 0.0006, 0.3459)
Li (0.0154, 0.7258, 0.2144)
Li (0.0564, 0.9717, 0.6560)
Li (0.0902, 0.3092, 0.7834)
Li (0.4410, 0.4592, 0.8925)
Li (0.4713, 0.7172, 0.0415)
Li (0.4748, 0.7353, 0.3529)
Li (0.5070, 0.0127, 0.4969)
Li (0.5496, 0.3678, 0.2792)
Li (0.5525, 0.0212, 0.1482)
Li (0.9519, 0.7357, 0.8606)
Li (0.9751, 0.7231, 0.5480)
Li (0.9857, 0.4029, 0.4260)
Mn (0.4822, 0.3953, 0.5897)
Mn (0.9862, 0.3850, 0.1082)
O (0.1858, 0.6162, 0.0402)
O (0.1980, 0.5891, 0.7216)
O (0.2121, 0.6131, 0.3973)
O (0.7039, 0.6369, 0.2145)
O (0.7837, 0.1208, 0.4949)
O (0.8313, 0.1169, 0.1597)
F (0.2442, 0.1619, 0.6169)
F (0.3055, 0.1047, 0.3175)
F (0.3059, 0.0929, 0.9784)
F (0.6863, 0.6506, 0.5254)
F (0.7207, 0.5748, 0.9008)
F (0.8607, 0.1064, 0.8103)

This entry pairs a crystal structure of LiMnOF2 with its computed X-ray powder pattern. Radiation: Cu Kα (weighted mean of Kα1 and Kα2). Structure: DFT lattice parameters and positions (GGA+U).
Kinematic intensities with the Lorentz-polarization factor, no thermal factor.

Top 10 peaks for 2θ from 10° to 90°, most intense first:
2θ 18.8, I = 100
2θ 20.7, I = 48
2θ 38.8, I = 43
2θ 38.9, I = 43
2θ 40.5, I = 35
2θ 20.4, I = 29
2θ 32.3, I = 24
2θ 22.7, I = 19
2θ 51.2, I = 16
2θ 24.0, I = 14

Atomic structure:
a = 5.1504 Å, b = 5.2383 Å, c = 9.7718 Å
α = 76.95°, β = 76.69°, γ = 61.86°
Element x y z (fractional)
Li (0.0618, 0.0846, 0.2944)
Li (0.3956, 0.4791, 0.2065)
Li (0.6044, 0.5209, 0.7935)
Li (0.9382, 0.9154, 0.7056)
Mn (0.1593, 0.1592, 0.9858)
Mn (0.3003, 0.3375, 0.5161)
Mn (0.6997, 0.6625, 0.4839)
Mn (0.8407, 0.8408, 0.0142)
O (0.0535, 0.4011, 0.3851)
O (0.0951, 0.8623, 0.1171)
O (0.9049, 0.1377, 0.8829)
O (0.9465, 0.5989, 0.6149)
F (0.2001, 0.5069, 0.8764)
F (0.3473, 0.9003, 0.6163)
F (0.4063, 0.6998, 0.3723)
F (0.4075, 0.1525, 0.1169)
F (0.5925, 0.8475, 0.8831)
F (0.5937, 0.3002, 0.6277)
F (0.6527, 0.0997, 0.3837)
F (0.7999, 0.4931, 0.1236)